# 1
The following is a simulated powder XRD pattern of Zr2In2C. It was derived from a structure optimized by DFT (PBE), using Cu Kα, 1.54184 Å.
Kinematic intensities with the Lorentz-polarization factor, no thermal factor.

Cell and atoms:
abc: 5.861 3.384 10.526
angles: 90.00 100.78 90.00
Space group C2/m (No. 12)
Asymmetric unit:
1 Zr 0.207 0.000 0.119 [4 per cell]
2 In 0.045 0.000 0.638 [4 per cell]
3 C 0.000 0.500 0.000 [2 per cell]

Principal peaks in the range 2θ from 10° to 90°, in order of falling intensity:
d [Å]	I (rel.)	index
2.917	100	2 0 -1
2.444	73	2 0 -3
2.585	54	0 0 4
1.692	51	0 2 0
2.338	51	1 1 -3
1.416	47	3 1 3

# 2
The following is a simulated powder XRD pattern of IrC4. It was derived from a structure optimized by DFT (PBE), using Cu Kα, 1.54184 Å.
Kinematic intensities with the Lorentz-polarization factor, no thermal factor.

Cell and atoms:
abc: 4.323 8.921 4.896
angles: 90.00 90.00 90.00
Space group Ccce (No. 68, origin choice 2)
Asymmetric unit:
1 Ir 0.000 0.250 0.250 [4 per cell]
2 C 0.084 0.017 0.126 [16 per cell]

Principal peaks in the range 2θ from 10° to 90°, in order of falling intensity:
d [Å]	I (rel.)	index
3.046	100	1 1 1
2.191	36	1 3 1
4.460	33	0 2 0
2.146	18	0 2 2
1.563	15	1 5 1
2.230	15	0 4 0

# 3
The following is a simulated powder XRD pattern of Ir2C. It was derived from a structure optimized by DFT (PBE), using Cu Kα, 1.54184 Å.
Kinematic intensities with the Lorentz-polarization factor, no thermal factor.

Cell and atoms:
abc: 2.8286 2.8286 15.5296
angles: 90.00 90.00 120.00
Space group R3m (No. 160, hexagonal axes)
Asymmetric unit:
1 Ir 0.0000 0.0000 0.0000 [3 per cell]
2 Ir 0.0000 0.0000 0.1793 [3 per cell]
3 C 0.0000 0.0000 0.4239 [3 per cell]

Principal peaks in the range 2θ from 10° to 90°, in order of falling intensity:
d [Å]	I (rel.)	index
2.420	100	1 0 1
1.923	68	0 1 5
2.588	52	0 0 6
2.072	38	1 0 4
1.241	33	1 1 6
1.414	29	1 1 0

# 4
The following is a simulated powder XRD pattern of La8IrPd2C. It was derived from a structure optimized by DFT (PBE), using Cu Kα, 1.54184 Å.
Kinematic intensities with the Lorentz-polarization factor, no thermal factor.

Cell and atoms:
abc: 6.785 8.297 6.846
angles: 90.00 90.79 90.00
Space group P2/m (No. 10)
Asymmetric unit:
1 La 0.221 0.228 0.349 [4 per cell]
2 La 0.231 0.000 0.813 [2 per cell]
3 La 0.252 0.500 0.840 [2 per cell]
4 Ir 0.000 0.500 0.500 [1 per cell]
5 Pd 0.500 0.240 0.000 [2 per cell]
6 C 0.000 0.000 0.500 [1 per cell]

Principal peaks in the range 2θ from 10° to 90°, in order of falling intensity:
d [Å]	I (rel.)	index
3.135	100	1 2 1
2.460	67	2 2 -1
3.153	67	1 2 -1
1.999	57	0 2 3
3.073	48	1 0 -2
2.393	38	2 0 2

# 5
The following is a simulated powder XRD pattern of MnIrC. It was derived from a structure optimized by DFT (PBE), using Cu Kα, 1.54184 Å.
Kinematic intensities with the Lorentz-polarization factor, no thermal factor.

Cell and atoms:
abc: 2.889 2.889 4.039
angles: 90.00 90.00 90.00
Space group P4/mmm (No. 123)
Asymmetric unit:
1 Mn 0.000 0.000 0.000 [1 per cell]
2 Ir 0.500 0.500 0.500 [1 per cell]
3 C 0.500 0.500 0.000 [1 per cell]

Principal peaks in the range 2θ from 10° to 90°, in order of falling intensity:
d [Å]	I (rel.)	index
2.350	100	1 0 1
2.043	39	1 1 0
2.889	33	1 0 0
4.039	26	0 0 1
1.230	26	2 1 1
1.436	24	1 1 2

# 6
The following is a simulated powder XRD pattern of Pr3IrC2N6. It was derived from a structure optimized by DFT (PBE), using Cu Kα, 1.54184 Å.
Kinematic intensities with the Lorentz-polarization factor, no thermal factor.

Cell and atoms:
abc: 5.2766 5.2766 6.7168
angles: 90.00 90.00 120.00
Space group P-3m1 (No. 164)
Asymmetric unit:
1 Pr 0.0000 0.0000 0.0000 [1 per cell]
2 Pr 0.3333 0.6667 0.6724 [2 per cell]
3 Ir 0.0000 0.0000 0.5000 [1 per cell]
4 C 0.3333 0.6667 0.2839 [2 per cell]
5 N 0.1820 0.3640 0.2739 [6 per cell]

Principal peaks in the range 2θ from 10° to 90°, in order of falling intensity:
d [Å]	I (rel.)	index
2.706	100	0 1 2
2.638	84	1 1 0
1.889	42	2 0 2
1.536	34	1 2 2
3.778	32	1 0 1
4.570	29	1 0 0

# 7
The following is a simulated powder XRD pattern of NpIrC. It was derived from a structure optimized by DFT (PBE), using Cu Kα, 1.54184 Å.
Kinematic intensities with the Lorentz-polarization factor, no thermal factor.

Cell and atoms:
abc: 2.856 4.207 7.150
angles: 90.00 90.00 90.00
Space group Pmmn (No. 59, origin choice 2)
Asymmetric unit:
1 Np 0.250 0.250 0.150 [2 per cell]
2 Ir 0.250 0.750 0.429 [2 per cell]
3 C 0.250 0.250 0.787 [2 per cell]

Principal peaks in the range 2θ from 10° to 90°, in order of falling intensity:
d [Å]	I (rel.)	index
2.724	100	0 1 2
2.244	85	1 1 1
2.652	47	1 0 1
2.103	34	0 2 0
1.648	24	1 2 1
1.971	24	1 1 2

# 8
The following is a simulated powder XRD pattern of SrIrPbC2. It was derived from a structure optimized by DFT (PBE), using Cu Kα, 1.54184 Å.
Kinematic intensities with the Lorentz-polarization factor, no thermal factor.

Cell and atoms:
abc: 4.667 4.667 5.595
angles: 90.00 90.00 90.00
Space group P4/mmm (No. 123)
Asymmetric unit:
1 Sr 0.000 0.000 0.000 [1 per cell]
2 Ir 0.000 0.000 0.500 [1 per cell]
3 Pb 0.500 0.500 0.500 [1 per cell]
4 C 0.000 0.500 0.000 [2 per cell]

Principal peaks in the range 2θ from 10° to 90°, in order of falling intensity:
d [Å]	I (rel.)	index
3.300	100	1 1 0
2.842	69	1 1 1
5.595	63	0 0 1
2.134	62	1 1 2
2.333	47	2 0 0
1.792	43	2 0 2

# 9
The following is a simulated powder XRD pattern of PmIr3C. It was derived from a structure optimized by DFT (PBE), using Cu Kα, 1.54184 Å.
Kinematic intensities with the Lorentz-polarization factor, no thermal factor.

Cell and atoms:
abc: 4.258 4.258 4.258
angles: 90.00 90.00 90.00
Space group Pm-3m (No. 221)
Asymmetric unit:
1 Pm 0.000 0.000 0.000 [1 per cell]
2 Ir 0.000 0.500 0.500 [3 per cell]
3 C 0.500 0.500 0.500 [1 per cell]

Principal peaks in the range 2θ from 10° to 90°, in order of falling intensity:
d [Å]	I (rel.)	index
2.458	100	1 1 1
2.129	53	2 0 0
1.284	40	3 1 1
1.505	35	2 2 0
1.229	12	2 2 2
4.258	2	1 0 0

# 10
The following is a simulated powder XRD pattern of PrIrC. It was derived from a structure optimized by DFT (PBE), using Cu Kα, 1.54184 Å.
Kinematic intensities with the Lorentz-polarization factor, no thermal factor.

Cell and atoms:
abc: 3.875 3.875 7.487
angles: 90.00 90.00 90.00
Space group P4_2/mmc (No. 131)
Asymmetric unit:
1 Pr 0.000 0.000 0.250 [2 per cell]
2 Ir 0.500 0.500 0.000 [2 per cell]
3 C 0.000 0.500 0.000 [2 per cell]

Principal peaks in the range 2θ from 10° to 90°, in order of falling intensity:
d [Å]	I (rel.)	index
2.692	100	1 0 2
2.740	49	1 1 0
1.572	40	2 1 2
1.937	20	2 0 0
1.545	18	1 1 4
1.346	12	2 0 4

# 11
The following is a simulated powder XRD pattern of Sc2IrPtC. It was derived from a structure optimized by DFT (PBE), using Cu Kα, 1.54184 Å.
Kinematic intensities with the Lorentz-polarization factor, no thermal factor.

Cell and atoms:
abc: 4.532 4.532 3.870
angles: 90.00 90.00 90.00
Space group P4/mmm (No. 123)
Asymmetric unit:
1 Sc 0.000 0.500 0.000 [2 per cell]
2 Ir 0.000 0.000 0.500 [1 per cell]
3 Pt 0.500 0.500 0.500 [1 per cell]
4 C 0.000 0.000 0.000 [1 per cell]

Principal peaks in the range 2θ from 10° to 90°, in order of falling intensity:
d [Å]	I (rel.)	index
2.468	100	1 1 1
3.205	43	1 1 0
2.266	43	2 0 0
1.344	30	3 1 1
3.870	29	0 0 1
1.471	21	2 0 2

# 12
The following is a simulated powder XRD pattern of Sc3IrC3. It was derived from a structure optimized by DFT (PBE), using Cu Kα, 1.54184 Å.
Kinematic intensities with the Lorentz-polarization factor, no thermal factor.

Cell and atoms:
abc: 8.369 9.782 4.684
angles: 90.00 90.00 90.00
Space group Cmcm (No. 63)
Asymmetric unit:
1 Sc 0.000 0.108 0.250 [4 per cell]
2 Sc 0.224 0.381 0.250 [8 per cell]
3 Ir 0.000 0.313 0.750 [4 per cell]
4 C 0.000 0.115 0.750 [4 per cell]
5 C 0.221 0.377 0.750 [8 per cell]

Principal peaks in the range 2θ from 10° to 90°, in order of falling intensity:
d [Å]	I (rel.)	index
3.771	100	1 1 1
2.631	99	2 2 1
2.342	41	0 0 2
2.328	40	3 1 1
3.038	34	1 3 0
4.891	28	0 2 0

# 13
The following is a simulated powder XRD pattern of ScIrC. It was derived from a structure optimized by DFT (PBE), using Cu Kα, 1.54184 Å.
Kinematic intensities with the Lorentz-polarization factor, no thermal factor.

Cell and atoms:
abc: 5.153 5.153 6.233
angles: 90.00 90.00 90.00
Space group P4_12_12 (No. 92)
Asymmetric unit:
1 Sc 0.217 0.217 0.000 [4 per cell]
2 Ir 0.192 0.192 0.500 [4 per cell]
3 C 0.027 0.973 0.750 [4 per cell]

Principal peaks in the range 2θ from 10° to 90°, in order of falling intensity:
d [Å]	I (rel.)	index
2.369	100	1 1 2
3.972	79	1 0 1
2.577	43	2 0 0
2.305	39	2 1 0
1.504	22	3 0 2
2.162	18	2 1 1

# 14
The following is a simulated powder XRD pattern of Sc5Ir15C4. It was derived from a structure optimized by DFT (PBE), using Cu Kα, 1.54184 Å.
Kinematic intensities with the Lorentz-polarization factor, no thermal factor.

Cell and atoms:
abc: 3.996 3.996 21.625
angles: 90.00 90.00 90.00
Space group P4/mmm (No. 123)
Asymmetric unit:
1 Sc 0.000 0.000 0.000 [1 per cell]
2 Sc 0.000 0.000 0.201 [2 per cell]
3 Sc 0.000 0.000 0.405 [2 per cell]
4 Ir 0.000 0.500 0.093 [4 per cell]
5 Ir 0.000 0.500 0.299 [4 per cell]
6 Ir 0.000 0.500 0.500 [2 per cell]
7 Ir 0.500 0.500 0.000 [1 per cell]
8 Ir 0.500 0.500 0.209 [2 per cell]
9 Ir 0.500 0.500 0.416 [2 per cell]
10 C 0.500 0.500 0.119 [2 per cell]
11 C 0.500 0.500 0.326 [2 per cell]

Principal peaks in the range 2θ from 10° to 90°, in order of falling intensity:
d [Å]	I (rel.)	index
2.365	100	1 1 5
1.998	34	2 0 0
1.213	24	3 1 5
1.467	20	2 0 10
2.162	17	0 0 10
3.996	13	1 0 0